# TbSmSi2I2
Computed PXRD pattern, Cu Kα. Input: a crystal structure in OQMD, relaxed with GGA-PBE.
Kinematic intensities with the Lorentz-polarization factor, no thermal factor.

Top 12 peaks for 2θ from 15° to 90°, in order of falling intensity:
Position (°2θ)  d (Å)  I_rel
33.22  2.697  100
25.86  3.445  70
43.68  2.072  42
28.82  3.097  27
38.63  2.331  26
63.99  1.455  24
55.96  1.643  22
73.56  1.288  20
44.33  2.043  15
51.46  1.776  14
24.81  3.589  12
69.74  1.348  10

Crystal structure
Cell: 4.1446 4.1446 12.2598 Å, 90.00 90.00 120.00°
Atoms (fractional coordinates):
Tb1 0.0000 0.0000 0.0000
Sm1 0.0000 0.0000 0.6873
Si1 0.3333 0.6667 0.8528
Si2 0.6667 0.3333 0.8396
I1 0.3333 0.6667 0.5155
I2 0.6667 0.3333 0.1673